# AcLa4Tb3Se8
Theoretical X-ray diffraction stick pattern, Cu Ka. Input: the GGA-PBE geometry in Alexandria.

Structural model:
a = 8.5044 Å, b = 8.5044 Å, c = 20.8917 Å
α = 90.00°, β = 90.00°, γ = 120.00°
Space group R-3m (No. 166, hexagonal axes)
One atom of each set of equivalent atoms:
Ac (0.0000, 0.0000, 0.0000) [3 per cell]
La (0.0000, 0.0000, 0.5000) [3 per cell]
La (0.0000, 0.5000, 0.5000) [9 per cell]
Tb (0.0000, 0.5000, 0.0000) [9 per cell]
Se (0.0000, 0.0000, 0.2557) [6 per cell]
Se (0.0128, 0.5064, 0.2531) [18 per cell]

The 10 most intense peaks (5° ≤ 2θ ≤ 70°), low angle first:
h k l	2θ/deg	Rel. int.
0 0 6	25.6	20
0 2 4	29.7	100
2 2 0	42.5	75
0 2 10	50.3	8
0 4 2	50.3	3
0 0 12	52.6	7
4 0 4	52.7	20
0 4 8	61.6	12
2 2 12	69.8	17
2 4 4	69.9	17

=====

# Pr3Dy12Er
Theoretical X-ray diffraction stick pattern, Cu Ka. Input: the GGA-PBE geometry in Alexandria.

Structural model:
a = 5.0510 Å, b = 5.0510 Å, c = 20.2030 Å
α = 90.00°, β = 90.00°, γ = 90.00°
Space group P4/mmm (No. 123)
One atom of each set of equivalent atoms:
Pr (0.0000, 0.0000, 0.0000) [1 per cell]
Pr (0.0000, 0.0000, 0.2511) [2 per cell]
Dy (0.0000, 0.5000, 0.1258) [4 per cell]
Dy (0.0000, 0.5000, 0.3775) [4 per cell]
Dy (0.5000, 0.5000, 0.0000) [1 per cell]
Dy (0.5000, 0.5000, 0.2519) [2 per cell]
Dy (0.5000, 0.5000, 0.5000) [1 per cell]
Er (0.0000, 0.0000, 0.5000) [1 per cell]

The 5 most intense peaks (5° ≤ 2θ ≤ 70°), low angle first:
h k l	2θ/deg	Rel. int.
1 1 4	30.7	100
2 0 0	35.5	51
2 2 0	51.2	36
3 1 4	60.8	43
2 2 8	63.8	12

=====

# Hg5Pb4
Theoretical X-ray diffraction stick pattern, Cu Ka. Input: the GGA-PBE geometry in Alexandria.

Structural model:
a = 12.0506 Å, b = 12.0506 Å, c = 3.5814 Å
α = 90.00°, β = 90.00°, γ = 90.00°
Space group I4/mmm (No. 139)
One atom of each set of equivalent atoms:
Hg (0.0000, 0.0000, 0.0000) [2 per cell]
Hg (0.1657, 0.1657, 0.5000) [8 per cell]
Pb (0.0000, 0.3266, 0.0000) [8 per cell]

The 7 most intense peaks (5° ≤ 2θ ≤ 70°), low angle first:
h k l	2θ/deg	Rel. int.
3 3 0	31.5	58
3 0 1	33.5	100
6 0 0	45.1	22
0 0 2	51.0	8
6 3 1	57.4	44
3 3 2	61.2	18
6 6 0	65.8	7

=====

# Pu12Ru3Rh4
Theoretical X-ray diffraction stick pattern, Cu Ka. Input: the GGA-PBE geometry in Alexandria.

Structural model:
a = 10.1947 Å, b = 10.1947 Å, c = 10.1947 Å
α = 90.00°, β = 90.00°, γ = 90.00°
Space group Im-3 (No. 204)
One atom of each set of equivalent atoms:
Pu (0.0000, 0.1930, 0.3248) [24 per cell]
Ru (0.0000, 0.0000, 0.5000) [6 per cell]
Rh (0.2500, 0.2500, 0.2500) [8 per cell]

The 10 most intense peaks (5° ≤ 2θ ≤ 70°), low angle first:
h k l	2θ/deg	Rel. int.
1 1 0	12.3	24
3 1 0	27.7	100
2 2 2	30.4	20
3 2 1	32.9	55
4 0 0	35.2	18
4 2 0	39.5	18
3 3 2	41.5	26
4 2 2	43.5	30
5 0 3	52.3	34
5 3 2	55.6	34